Entry 1:
The following is a computed powder XRD pattern of BaLi2MgP2O8. It was derived from a structure optimized by DFT (GGA-PBE), using copper Kα.
No peak broadening, texture or thermal motion is included.

Cell and atoms:
```
BaLi2MgP2O8
1.0
5.101 0.000 0.000
-2.550 4.417 0.000
0.000 0.000 7.196
Ba Li Mg P O
1 2 1 2 8
Direct
0.000 0.000 0.000
0.333 0.667 0.269
0.667 0.333 0.731
0.000 0.000 0.500
0.333 0.667 0.749
0.667 0.333 0.251
0.064 0.360 0.679
0.296 0.936 0.679
0.333 0.667 0.964
0.360 0.296 0.321
0.640 0.704 0.679
0.667 0.333 0.036
0.704 0.064 0.321
0.936 0.640 0.321
```

Top 12 peaks for 15 to 90 degrees two-theta, by angle:
| Position (°2θ) | Rel. int. |
| --- | --- |
| 20.1 | 516 |
| 23.6 | 906 |
| 32.1 | 1000 |
| 35.2 | 582 |
| 37.4 | 776 |
| 42.9 | 263 |
| 43.5 | 310 |
| 48.4 | 351 |
| 56.6 | 170 |
| 61.2 | 300 |
| 63.1 | 203 |
| 63.3 | 285 |



Entry 2:
The following is a computed powder XRD pattern of Ce2TeSe. It was derived from a structure optimized by DFT (GGA-PBE), using copper Kα.
No peak broadening, texture or thermal motion is included.

Cell and atoms:
```
Ce2TeSe
1.0
4.338 0.000 0.000
0.000 4.338 0.000
0.000 0.000 6.134
Ce Te Se
2 1 1
Direct
0.000 0.000 0.000
0.500 0.500 0.500
0.000 0.000 0.500
0.500 0.500 0.000
```

Top 12 peaks for 15 to 90 degrees two-theta, by angle:
| Position (°2θ) | Rel. int. |
| --- | --- |
| 20.5 | 13 |
| 25.1 | 45 |
| 29.1 | 1000 |
| 32.6 | 8 |
| 41.6 | 754 |
| 49.3 | 23 |
| 51.6 | 268 |
| 60.4 | 125 |
| 66.4 | 10 |
| 68.4 | 342 |
| 76.0 | 253 |
| 81.5 | 7 |



Entry 3:
The following is a computed powder XRD pattern of Sr2LiTa2N2O4. It was derived from a structure optimized by DFT (GGA-PBE), using copper Kα.
No peak broadening, texture or thermal motion is included.

Cell and atoms:
```
Sr2LiTa2N2O4
1.0
0.000 4.228 4.096
4.080 0.000 4.096
4.080 4.228 0.000
Sr Li Ta N O
2 1 2 2 4
Direct
0.213 0.787 0.213
0.787 0.213 0.787
0.427 0.427 0.573
0.489 0.976 0.511
0.976 0.489 0.024
0.231 0.231 0.269
0.731 0.731 0.769
0.205 0.205 0.795
0.265 0.700 0.735
0.700 0.265 0.300
0.766 0.766 0.234
```

Top 12 peaks for 15 to 90 degrees two-theta, by angle:
| Position (°2θ) | Rel. int. |
| --- | --- |
| 21.0 | 164 |
| 21.7 | 210 |
| 30.4 | 1000 |
| 30.9 | 520 |
| 42.8 | 134 |
| 44.2 | 142 |
| 44.4 | 145 |
| 48.5 | 92 |
| 53.7 | 168 |
| 54.6 | 201 |
| 54.8 | 201 |
| 64.5 | 85 |



Entry 4:
The following is a computed powder XRD pattern of MgTl3. It was derived from a structure optimized by DFT (GGA-PBE), using copper Kα.
No peak broadening, texture or thermal motion is included.

Cell and atoms:
```
MgTl3
1.0
-2.380 2.380 5.064
2.380 -2.380 5.064
2.380 2.380 -5.064
Mg Tl
1 3
Direct
0.000 0.000 0.000
0.250 0.750 0.500
0.500 0.500 0.000
0.750 0.250 0.500
```

Top 12 peaks for 15 to 90 degrees two-theta, by angle:
| Position (°2θ) | Rel. int. |
| --- | --- |
| 17.5 | 81 |
| 20.6 | 224 |
| 31.9 | 1000 |
| 32.5 | 74 |
| 35.5 | 190 |
| 37.8 | 319 |
| 52.8 | 248 |
| 54.5 | 113 |
| 61.5 | 158 |
| 64.6 | 272 |
| 66.7 | 123 |
| 86.7 | 126 |



Entry 5:
The following is a computed powder XRD pattern of RbBe2BO3F2. It was derived from a structure optimized by DFT (GGA-PBE), using copper Kα.
No peak broadening, texture or thermal motion is included.

Cell and atoms:
```
RbBe2BO3F2
1.0
2.236 1.291 6.821
-2.236 1.291 6.821
0.000 -2.582 6.821
Rb Be B O F
1 2 1 3 2
Direct
0.000 0.000 0.000
0.194 0.194 0.194
0.806 0.806 0.806
0.500 0.500 0.500
0.191 0.809 0.500
0.500 0.191 0.809
0.809 0.500 0.191
0.270 0.270 0.270
0.730 0.730 0.730
```

Top 12 peaks for 15 to 90 degrees two-theta, by angle:
| Position (°2θ) | Rel. int. |
| --- | --- |
| 23.4 | 460 |
| 24.6 | 198 |
| 26.1 | 358 |
| 28.9 | 1000 |
| 31.8 | 156 |
| 38.6 | 221 |
| 40.3 | 340 |
| 42.3 | 209 |
| 42.5 | 457 |
| 50.4 | 256 |
| 54.7 | 115 |
| 66.4 | 172 |



Entry 6:
The following is a computed powder XRD pattern of Nb2ReTc. It was derived from a structure optimized by DFT (GGA-PBE), using copper Kα.
No peak broadening, texture or thermal motion is included.

Cell and atoms:
```
Nb2ReTc
1.0
0.000 3.204 3.204
3.204 0.000 3.204
3.204 3.204 0.000
Nb Re Tc
2 1 1
Direct
0.250 0.250 0.250
0.750 0.750 0.750
0.000 0.000 0.000
0.500 0.500 0.500
```

Top 11 peaks for 15 to 90 degrees two-theta, by angle:
| Position (°2θ) | Rel. int. |
| --- | --- |
| 24.1 | 72 |
| 27.8 | 48 |
| 39.8 | 1000 |
| 47.0 | 40 |
| 49.3 | 15 |
| 57.5 | 168 |
| 63.3 | 17 |
| 65.1 | 20 |
| 72.2 | 338 |
| 77.4 | 13 |
| 85.8 | 109 |